(1)
Theoretical powder XRD pattern of Ca3MgPb3 for Cu Kα, from a crystal structure in Alexandria, relaxed with PBE.

Crystal structure
```
data_Ca3MgPb3
_chemical_formula_sum 'Ca12 Mg4 Pb12'
_symmetry_space_group_name_H-M 'C m m m'
_symmetry_Int_Tables_number 65
_symmetry_space_group_name_Hall '-C 2 2'
_cell_length_a 10.693
_cell_length_b 11.098
_cell_length_c 7.457
_cell_angle_alpha 90.00
_cell_angle_beta 90.00
_cell_angle_gamma 90.00
loop_
_atom_site_label
_atom_site_fract_x
_atom_site_fract_y
_atom_site_fract_z
Ca1 0.000 0.237 0.000
Ca2 0.212 0.000 0.500
Ca3 0.246 0.500 0.000
Mg1 0.000 0.259 0.500
Pb1 0.000 0.500 0.269
Pb2 0.250 0.250 0.260
```

Most intense lines, 2θ from 15° to 90°, in order of rising 2θ:
2θ = 16.58°, intensity 9.2; 2θ = 23.10°, intensity 37.4; 2θ = 23.86°, intensity 16.2; 2θ = 26.56°, intensity 11.2; 2θ = 32.27°, intensity 22.8; 2θ = 33.47°, intensity 100.0; 2θ = 40.53°, intensity 8.9; 2θ = 41.57°, intensity 10.3; 2θ = 47.21°, intensity 15.1; 2θ = 53.58°, intensity 8.9; 2θ = 58.30°, intensity 16.1; 2θ = 59.89°, intensity 13.9


(2)
Theoretical powder XRD pattern of Ca2Mg5Sn3Pb2 for Cu Kα, from a crystal structure in Alexandria, relaxed with PBE.

Crystal structure
```
data_Ca2Mg5Sn3Pb2
_chemical_formula_sum 'Ca4 Mg10 Sn6 Pb4'
_symmetry_space_group_name_H-M 'I 4/m m m'
_symmetry_Int_Tables_number 139
_symmetry_space_group_name_Hall '-I 4 2'
_cell_length_a 4.336
_cell_length_b 4.336
_cell_length_c 35.501
_cell_angle_alpha 90.00
_cell_angle_beta 90.00
_cell_angle_gamma 90.00
loop_
_atom_site_label
_atom_site_fract_x
_atom_site_fract_y
_atom_site_fract_z
Ca1 0.000 0.000 0.220
Mg1 0.000 0.000 0.000
Mg2 0.000 0.500 0.066
Sn1 0.000 0.000 0.321
Sn2 0.000 0.000 0.500
Pb1 0.000 0.000 0.131
```

Most intense lines, 2θ from 15° to 90°, in order of rising 2θ:
2θ = 21.83°, intensity 25.5; 2θ = 24.05°, intensity 77.4; 2θ = 29.13°, intensity 76.2; 2θ = 30.64°, intensity 27.0; 2θ = 32.90°, intensity 47.5; 2θ = 34.65°, intensity 100.0; 2θ = 35.59°, intensity 26.8; 2θ = 41.66°, intensity 46.9; 2θ = 48.68°, intensity 25.2; 2θ = 55.27°, intensity 53.5; 2θ = 65.35°, intensity 17.5; 2θ = 86.34°, intensity 16.3


(3)
Theoretical powder XRD pattern of CaMg9Pd2 for Cu Kα, from a crystal structure in Alexandria, relaxed with PBE.

Crystal structure
```
data_CaMg9Pd2
_chemical_formula_sum 'Ca4 Mg36 Pd8'
_symmetry_space_group_name_H-M 'I 41/a m d'
_symmetry_Int_Tables_number 141
_cell_length_a 11.764
_cell_length_b 11.764
_cell_length_c 7.652
_cell_angle_alpha 90.00
_cell_angle_beta 90.00
_cell_angle_gamma 90.00
loop_
_symmetry_equiv_pos_as_xyz
'x,y,z'
'-x,-y,-z'
'-y+1/4,x+3/4,z+1/4'
'y+1/4,-x+3/4,-z+1/4'
'-x+1/2,-y,z+1/2'
'x+1/2,y,-z+1/2'
'y+1/4,-x+1/4,z+3/4'
'-y+1/4,x+1/4,-z+3/4'
'x,-y,-z'
'-x,y,z'
'-y+1/4,-x+1/4,-z+3/4'
'y+1/4,x+1/4,z+3/4'
'-x+1/2,y,-z+1/2'
'x+1/2,-y,z+1/2'
'y+1/4,x+3/4,-z+1/4'
'-y+1/4,-x+3/4,z+1/4'
'x+1/2,y+1/2,z+1/2'
'-x+1/2,-y+1/2,-z+1/2'
'-y+3/4,x+1/4,z+3/4'
'y+3/4,-x+1/4,-z+3/4'
'-x,-y+1/2,z'
'x,y+1/2,-z'
'y+3/4,-x+3/4,z+1/4'
'-y+3/4,x+3/4,-z+1/4'
'x+1/2,-y+1/2,-z+1/2'
'-x+1/2,y+1/2,z+1/2'
'-y+3/4,-x+3/4,-z+1/4'
'y+3/4,x+3/4,z+1/4'
'-x,y+1/2,-z'
'x,-y+1/2,z'
'y+3/4,x+1/4,-z+3/4'
'-y+3/4,-x+1/4,z+3/4'
loop_
_atom_site_label
_atom_site_fract_x
_atom_site_fract_y
_atom_site_fract_z
Ca1 0.000 0.250 0.375
Mg1 0.000 0.250 0.875
Mg2 0.123 0.053 0.690
Pd1 0.000 0.000 0.000
```

Most intense lines, 2θ from 15° to 90°, in order of rising 2θ:
2θ = 20.49°, intensity 81.7; 2θ = 21.36°, intensity 44.8; 2θ = 27.82°, intensity 47.6; 2θ = 29.77°, intensity 68.4; 2θ = 30.39°, intensity 34.1; 2θ = 33.59°, intensity 46.8; 2θ = 34.08°, intensity 26.2; 2θ = 36.03°, intensity 40.3; 2θ = 39.26°, intensity 34.9; 2θ = 40.10°, intensity 85.6; 2θ = 41.67°, intensity 100.0; 2θ = 52.67°, intensity 26.3